Entry 1:
Simulated X-ray diffraction stick pattern of Cs8RbAu4 for λ = 1.5418 Å (Cu Kα), from the GGA-PBE geometry in Alexandria.
Kinematic intensities with the Lorentz-polarization factor, no thermal factor.

Largest 8 diffraction maxima, low angle first, 2θ = 10–90°:
d/Å, Rel. int.
5.844, 41.2
4.018, 100.0
3.423, 76.6
3.080, 51.9
2.881, 50.4
2.651, 30.2
2.535, 90.9
2.009, 31.0

Atomic structure:
```
data_Cs8RbAu4
_chemical_formula_sum 'Cs16 Rb2 Au8'
_symmetry_space_group_name_H-M 'I 4/m'
_symmetry_Int_Tables_number 87
_symmetry_space_group_name_Hall '-I 4'
_cell_length_a 18.4801
_cell_length_b 18.4801
_cell_length_c 5.3019
_cell_angle_alpha 90.00
_cell_angle_beta 90.00
_cell_angle_gamma 90.00
loop_
_atom_site_label
_atom_site_fract_x
_atom_site_fract_y
_atom_site_fract_z
Cs1 0.0413 0.3355 0.0000
Cs2 0.1492 0.8088 0.5000
Rb1 0.0000 0.0000 0.0000
Au1 0.1564 0.6756 0.0000
```

---

Entry 2:
Simulated X-ray diffraction stick pattern of Cs12Rb2Au7 for λ = 1.5418 Å (Cu Kα), from the GGA-PBE geometry in Alexandria.
Kinematic intensities with the Lorentz-polarization factor, no thermal factor.

Largest 8 diffraction maxima, low angle first, 2θ = 10–90°:
d/Å, Rel. int.
3.794, 100.0
3.612, 24.6
3.088, 50.2
2.981, 50.8
2.857, 25.7
2.842, 20.3
2.670, 29.3
1.841, 19.8

Atomic structure:
```
data_Cs12Rb2Au7
_chemical_formula_sum 'Cs12 Rb2 Au7'
_symmetry_space_group_name_H-M 'P -6'
_symmetry_Int_Tables_number 174
_cell_length_a 15.0360
_cell_length_b 15.0360
_cell_length_c 5.9579
_cell_angle_alpha 90.00
_cell_angle_beta 90.00
_cell_angle_gamma 120.00
loop_
_symmetry_equiv_pos_as_xyz
'x,y,z'
'-x+y,-x,-z'
'-y,x-y,z'
'x,y,-z'
'-x+y,-x,z'
'-y,x-y,-z'
loop_
_atom_site_label
_atom_site_fract_x
_atom_site_fract_y
_atom_site_fract_z
Cs1 0.0506 0.7920 0.0000
Cs2 0.1259 0.4271 0.5000
Cs3 0.3869 0.1891 0.5000
Cs4 0.5455 0.4402 0.0000
Rb1 0.0000 0.0000 0.5000
Rb2 0.3333 0.6667 0.0000
Au1 0.0480 0.6276 0.5000
Au2 0.2924 0.0361 0.0000
Au3 0.6667 0.3333 0.5000
```

---

Entry 3:
Simulated X-ray diffraction stick pattern of Cs3Rb8Au for λ = 1.5418 Å (Cu Kα), from the GGA-PBE geometry in Alexandria.
Kinematic intensities with the Lorentz-polarization factor, no thermal factor.

Largest 8 diffraction maxima, low angle first, 2θ = 10–90°:
d/Å, Rel. int.
8.028, 40.3
5.539, 39.7
4.047, 49.7
4.014, 87.8
3.825, 100.0
3.453, 36.0
3.323, 31.6
2.792, 30.7

Atomic structure:
```
data_Cs3Rb8Au
_chemical_formula_sum 'Cs6 Rb16 Au2'
_symmetry_space_group_name_H-M 'P 63 m c'
_symmetry_Int_Tables_number 186
_symmetry_space_group_name_Hall 'P 6c -2c'
_cell_length_a 15.3018
_cell_length_b 15.3018
_cell_length_c 10.0904
_cell_angle_alpha 90.00
_cell_angle_beta 90.00
_cell_angle_gamma 120.00
loop_
_atom_site_label
_atom_site_fract_x
_atom_site_fract_y
_atom_site_fract_z
Cs1 0.1536 0.3073 0.0000
Rb1 0.0000 0.0000 0.2512
Rb2 0.0547 0.5274 0.2343
Rb3 0.2263 0.4527 0.5224
Rb4 0.3333 0.6667 0.9381
Au1 0.3333 0.6667 0.2939
```

---

Entry 4:
Simulated X-ray diffraction stick pattern of Cs9Rb3Au4 for λ = 1.5418 Å (Cu Kα), from the GGA-PBE geometry in Alexandria.
Kinematic intensities with the Lorentz-polarization factor, no thermal factor.

Largest 8 diffraction maxima, low angle first, 2θ = 10–90°:
d/Å, Rel. int.
8.057, 91.3
5.086, 30.7
4.030, 24.0
3.484, 100.0
3.341, 48.1
2.799, 45.7
2.543, 62.5
1.670, 33.9

Atomic structure:
```
data_Cs9Rb3Au4
_chemical_formula_sum 'Cs27 Rb9 Au12'
_symmetry_space_group_name_H-M 'R 3 m'
_symmetry_Int_Tables_number 160
_symmetry_space_group_name_Hall 'R 3 -2"'
_cell_length_a 10.1711
_cell_length_b 10.1711
_cell_length_c 39.8681
_cell_angle_alpha 90.00
_cell_angle_beta 90.00
_cell_angle_gamma 120.00
loop_
_atom_site_label
_atom_site_fract_x
_atom_site_fract_y
_atom_site_fract_z
Cs1 0.9999 0.4999 0.0000
Cs2 0.0069 0.5034 0.4433
Cs3 0.1701 0.3403 0.8900
Rb1 0.0000 0.0000 0.0001
Rb2 0.0000 0.0000 0.4409
Rb3 0.0000 0.0000 0.5585
Au1 0.0000 0.0000 0.1655
Au2 0.0000 0.0000 0.2796
Au3 0.0000 0.0000 0.7205
Au4 0.0000 0.0000 0.8345
```

---

Entry 5:
Simulated X-ray diffraction stick pattern of Cs2Rb5Au3 for λ = 1.5418 Å (Cu Kα), from the GGA-PBE geometry in Alexandria.
Kinematic intensities with the Lorentz-polarization factor, no thermal factor.

Largest 8 diffraction maxima, low angle first, 2θ = 10–90°:
d/Å, Rel. int.
6.372, 72.8
3.859, 100.0
3.563, 60.5
3.110, 59.8
3.008, 49.6
2.890, 71.4
2.768, 51.3
2.758, 52.3

Atomic structure:
```
data_Cs2Rb5Au3
_chemical_formula_sum 'Cs8 Rb20 Au12'
_symmetry_space_group_name_H-M 'C 1 2/c 1'
_symmetry_Int_Tables_number 15
_cell_length_a 13.8398
_cell_length_b 21.6033
_cell_length_c 7.6950
_cell_angle_alpha 90.00
_cell_angle_beta 98.65
_cell_angle_gamma 90.00
loop_
_symmetry_equiv_pos_as_xyz
'x,y,z'
'-x,-y,-z'
'-x,y,-z+1/2'
'x,-y,z+1/2'
'x+1/2,y+1/2,z'
'-x+1/2,-y+1/2,-z'
'-x+1/2,y+1/2,-z+1/2'
'x+1/2,-y+1/2,z+1/2'
loop_
_atom_site_label
_atom_site_fract_x
_atom_site_fract_y
_atom_site_fract_z
Cs1 0.0967 0.1871 0.0257
Rb1 0.0000 0.0048 0.2500
Rb2 0.1097 0.3632 0.5191
Rb3 0.1992 0.4555 0.0623
Au1 0.0000 0.4972 0.7500
Au2 0.1426 0.1023 0.5496
```

---

Entry 6:
Simulated X-ray diffraction stick pattern of CsRb11Au5 for λ = 1.5418 Å (Cu Kα), from the GGA-PBE geometry in Alexandria.
Kinematic intensities with the Lorentz-polarization factor, no thermal factor.

Largest 8 diffraction maxima, low angle first, 2θ = 10–90°:
d/Å, Rel. int.
7.129, 78.3
4.731, 45.7
3.776, 40.5
3.493, 30.6
3.364, 100.0
3.279, 28.6
3.262, 39.8
2.561, 56.5

Atomic structure:
```
data_CsRb11Au5
_chemical_formula_sum 'Cs2 Rb22 Au10'
_symmetry_space_group_name_H-M 'C 1 2/m 1'
_symmetry_Int_Tables_number 12
_cell_length_a 13.3284
_cell_length_b 16.5475
_cell_length_c 8.6753
_cell_angle_alpha 90.00
_cell_angle_beta 101.93
_cell_angle_gamma 90.00
loop_
_symmetry_equiv_pos_as_xyz
'x,y,z'
'-x,-y,-z'
'-x,y,-z'
'x,-y,z'
'x+1/2,y+1/2,z'
'-x+1/2,-y+1/2,-z'
'-x+1/2,y+1/2,-z'
'x+1/2,-y+1/2,z'
loop_
_atom_site_label
_atom_site_fract_x
_atom_site_fract_y
_atom_site_fract_z
Cs1 0.0000 0.0000 0.0000
Rb1 0.0000 0.0000 0.5000
Rb2 0.1040 0.2340 0.3399
Rb3 0.1681 0.3621 0.8961
Rb4 0.1727 0.5000 0.3642
Au1 0.0000 0.5000 0.0000
Au2 0.1594 0.1578 0.7332
```

---

Entry 7:
Simulated X-ray diffraction stick pattern of Cs7Rb5Au6 for λ = 1.5418 Å (Cu Kα), from the GGA-PBE geometry in Alexandria.
Kinematic intensities with the Lorentz-polarization factor, no thermal factor.

Largest 8 diffraction maxima, low angle first, 2θ = 10–90°:
d/Å, Rel. int.
6.152, 53.5
6.009, 97.3
4.414, 54.1
3.946, 51.1
3.908, 51.6
3.098, 93.6
3.061, 70.1
2.503, 100.0

Atomic structure:
```
data_Cs7Rb5Au6
_chemical_formula_sum 'Cs14 Rb10 Au12'
_symmetry_space_group_name_H-M 'A m m 2'
_symmetry_Int_Tables_number 38
_cell_length_a 15.4319
_cell_length_b 12.3037
_cell_length_c 12.0173
_cell_angle_alpha 90.00
_cell_angle_beta 90.00
_cell_angle_gamma 90.00
loop_
_symmetry_equiv_pos_as_xyz
'x,y,z'
'-x,-y,z'
'-x,y,z'
'x,-y,z'
'x,y+1/2,z+1/2'
'-x,-y+1/2,z+1/2'
'-x,y+1/2,z+1/2'
'x,-y+1/2,z+1/2'
loop_
_atom_site_label
_atom_site_fract_x
_atom_site_fract_y
_atom_site_fract_z
Cs1 0.0000 0.0000 0.0000
Cs2 0.1687 0.2047 0.7010
Cs3 0.5000 0.2059 0.7065
Rb1 0.0000 0.0000 0.4020
Rb2 0.3334 0.0000 0.4079
Rb3 0.3365 0.0000 0.0025
Au1 0.0000 0.0000 0.6967
Au2 0.1703 0.0000 0.2041
Au3 0.3346 0.0000 0.7047
Au4 0.5000 0.0000 0.2084
```

---

Entry 8:
Simulated X-ray diffraction stick pattern of Cs2RbTeAu for λ = 1.5418 Å (Cu Kα), from the GGA-PBE geometry in Alexandria.
Kinematic intensities with the Lorentz-polarization factor, no thermal factor.

Largest 8 diffraction maxima, low angle first, 2θ = 10–90°:
d/Å, Rel. int.
7.065, 74.8
5.060, 45.8
4.149, 36.0
3.625, 100.0
3.225, 47.8
3.176, 48.4
2.564, 39.9
2.389, 44.6

Atomic structure:
```
data_Cs2RbTeAu
_chemical_formula_sum 'Cs2 Rb1 Te1 Au1'
_symmetry_space_group_name_H-M 'P 4 m m'
_symmetry_Int_Tables_number 99
_cell_length_a 7.2507
_cell_length_b 7.2507
_cell_length_c 7.0646
_cell_angle_alpha 90.00
_cell_angle_beta 90.00
_cell_angle_gamma 90.00
loop_
_symmetry_equiv_pos_as_xyz
'x,y,z'
'-y,x,z'
'-x,-y,z'
'y,-x,z'
'-x,y,z'
'y,x,z'
'x,-y,z'
'-y,-x,z'
loop_
_atom_site_label
_atom_site_fract_x
_atom_site_fract_y
_atom_site_fract_z
Cs1 0.0000 0.5000 0.0000
Rb1 0.0000 0.0000 0.5870
Te1 0.0000 0.0000 0.0982
Au1 0.5000 0.5000 0.7956
```

---

Entry 9:
Simulated X-ray diffraction stick pattern of Cs8Au5S for λ = 1.5418 Å (Cu Kα), from the GGA-PBE geometry in Alexandria.
Kinematic intensities with the Lorentz-polarization factor, no thermal factor.

Largest 8 diffraction maxima, low angle first, 2θ = 10–90°:
d/Å, Rel. int.
4.448, 14.4
3.444, 100.0
2.911, 69.4
2.436, 13.1
2.322, 13.6
2.223, 13.6
2.135, 15.2
1.765, 22.4

Atomic structure:
```
data_Cs8Au5S
_chemical_formula_sum 'Cs16 Au10 S2'
_symmetry_space_group_name_H-M 'I -4'
_symmetry_Int_Tables_number 82
_cell_length_a 10.8774
_cell_length_b 10.8774
_cell_length_c 10.9198
_cell_angle_alpha 90.00
_cell_angle_beta 90.00
_cell_angle_gamma 90.00
loop_
_symmetry_equiv_pos_as_xyz
'x,y,z'
'y,-x,-z'
'-x,-y,z'
'-y,x,-z'
'x+1/2,y+1/2,z+1/2'
'y+1/2,-x+1/2,-z+1/2'
'-x+1/2,-y+1/2,z+1/2'
'-y+1/2,x+1/2,-z+1/2'
loop_
_atom_site_label
_atom_site_fract_x
_atom_site_fract_y
_atom_site_fract_z
Cs1 0.0669 0.3062 0.4467
Cs2 0.0726 0.1713 0.7901
Au1 0.0000 0.5000 0.7500
Au2 0.1232 0.2465 0.1207
S1 0.0000 0.0000 0.5000
```

---

Entry 10:
Simulated X-ray diffraction stick pattern of Cs8Au2S3 for λ = 1.5418 Å (Cu Kα), from the GGA-PBE geometry in Alexandria.
Kinematic intensities with the Lorentz-polarization factor, no thermal factor.

Largest 8 diffraction maxima, low angle first, 2θ = 10–90°:
d/Å, Rel. int.
5.048, 16.5
3.822, 21.7
3.075, 26.9
3.058, 100.0
2.925, 26.5
2.119, 18.7
1.772, 16.9
1.713, 18.7

Atomic structure:
```
data_Cs8Au2S3
_chemical_formula_sum 'Cs16 Au4 S6'
_symmetry_space_group_name_H-M 'C m m m'
_symmetry_Int_Tables_number 65
_symmetry_space_group_name_Hall '-C 2 2'
_cell_length_a 12.3010
_cell_length_b 17.6652
_cell_length_c 5.8505
_cell_angle_alpha 90.00
_cell_angle_beta 90.00
_cell_angle_gamma 90.00
loop_
_atom_site_label
_atom_site_fract_x
_atom_site_fract_y
_atom_site_fract_z
Cs1 0.0000 0.1038 0.0000
Cs2 0.0000 0.3839 0.0000
Cs3 0.2306 0.1074 0.5000
Au1 0.0000 0.2591 0.5000
S1 0.0000 0.0000 0.5000
S2 0.2203 0.5000 0.0000
```

---

Entry 11:
Simulated X-ray diffraction stick pattern of Cs12Au5S for λ = 1.5418 Å (Cu Kα), from the GGA-PBE geometry in Alexandria.
Kinematic intensities with the Lorentz-polarization factor, no thermal factor.

Largest 8 diffraction maxima, low angle first, 2θ = 10–90°:
d/Å, Rel. int.
4.053, 100.0
3.610, 83.5
3.588, 32.7
3.166, 45.0
2.802, 71.3
2.637, 30.0
2.584, 84.8
2.482, 28.9

Atomic structure:
```
data_Cs12Au5S
_chemical_formula_sum 'Cs24 Au10 S2'
_symmetry_space_group_name_H-M 'C 1 2/m 1'
_symmetry_Int_Tables_number 12
_cell_length_a 9.0188
_cell_length_b 15.8203
_cell_length_c 17.7824
_cell_angle_alpha 90.00
_cell_angle_beta 90.12
_cell_angle_gamma 90.00
loop_
_symmetry_equiv_pos_as_xyz
'x,y,z'
'-x,-y,-z'
'-x,y,-z'
'x,-y,z'
'x+1/2,y+1/2,z'
'-x+1/2,-y+1/2,-z'
'-x+1/2,y+1/2,-z'
'x+1/2,-y+1/2,z'
loop_
_atom_site_label
_atom_site_fract_x
_atom_site_fract_y
_atom_site_fract_z
Cs1 0.1533 0.1542 0.1059
Cs2 0.1638 0.0000 0.3884
Cs3 0.1650 0.3336 0.3862
Cs4 0.1904 0.5000 0.1056
Au1 0.0000 0.1682 0.5000
Au2 0.0000 0.3328 0.0000
Au3 0.0000 0.5000 0.5000
S1 0.0000 0.0000 0.0000
```

---

Entry 12:
Simulated X-ray diffraction stick pattern of Cs8Au3S for λ = 1.5418 Å (Cu Kα), from the GGA-PBE geometry in Alexandria.
Kinematic intensities with the Lorentz-polarization factor, no thermal factor.

Largest 8 diffraction maxima, low angle first, 2θ = 10–90°:
d/Å, Rel. int.
4.979, 31.3
3.049, 100.0
2.600, 18.8
2.156, 18.4
1.760, 38.7
1.525, 11.9
1.364, 16.2
1.152, 18.7

Atomic structure:
```
data_Cs8Au3S
_chemical_formula_sum 'Cs8 Au3 S1'
_symmetry_space_group_name_H-M 'P m -3 m'
_symmetry_Int_Tables_number 221
_symmetry_space_group_name_Hall '-P 4 2 3'
_cell_length_a 8.6245
_cell_length_b 8.6245
_cell_length_c 8.6245
_cell_angle_alpha 90.00
_cell_angle_beta 90.00
_cell_angle_gamma 90.00
loop_
_atom_site_label
_atom_site_fract_x
_atom_site_fract_y
_atom_site_fract_z
Cs1 0.2402 0.2402 0.2402
Au1 0.0000 0.5000 0.5000
S1 0.0000 0.0000 0.0000
```